This entry pairs a crystal structure of Mn5Fe4O12 with its computed X-ray diffraction stick pattern. Radiation: Cu Kα X-rays. Structure: the GGA+U geometry in the Materials Project.

Crystal structure
```
data_Mn5Fe4O12
_chemical_formula_sum 'Mn10 Fe8 O24'
_cell_length_a 6.0773
_cell_length_b 6.1711
_cell_length_c 15.0488
_cell_angle_alpha 91.40
_cell_angle_beta 90.35
_cell_angle_gamma 119.00
_symmetry_space_group_name_H-M 'P -1'
_symmetry_Int_Tables_number 2
loop_
_symmetry_equiv_pos_as_xyz
'x,y,z'
'-x,-y,-z'
loop_
_atom_site_label
_atom_site_type_symbol
_atom_site_fract_x
_atom_site_fract_y
_atom_site_fract_z
_atom_site_occupancy
Mn1 Mn 0.0000 0.0000 0.0000 1
Mn2 Mn 0.0024 0.4980 0.1265 1
Mn3 Mn 0.3319 0.1702 0.2094 1
Mn4 Mn 0.3334 0.6665 0.3339 1
Mn5 Mn 0.3340 0.1616 0.4588 1
Mn6 Mn 0.5000 0.5000 0.0000 1
Fe1 Fe 0.0000 0.5000 0.5000 1
Fe2 Fe 0.1668 0.8335 0.6656 1
Fe3 Fe 0.1677 0.3340 0.6660 1
Fe4 Fe 0.3318 0.1635 0.8326 1
Fe5 Fe 0.5000 0.0000 0.0000 1
O1 O 0.0035 0.4965 0.2653 1
O2 O 0.0348 0.0252 0.7426 1
O3 O 0.1351 0.3325 0.4171 1
O4 O 0.1542 0.7917 0.4120 1
O5 O 0.1793 0.8738 0.9194 1
O6 O 0.2078 0.3429 0.9174 1
O7 O 0.3000 0.6427 0.5891 1
O8 O 0.3127 0.1409 0.0716 1
O9 O 0.3374 0.1635 0.5973 1
O10 O 0.3691 0.6867 0.0766 1
O11 O 0.4680 0.9995 0.7487 1
O12 O 0.4880 0.4585 0.7445 1
```

Largest 6 diffraction maxima, by angle, 15 to 90 degrees two-theta:
Position (°2θ)  I (rel.)  index
28.77  30.2  1 1 0
33.52  57.2  1 1 -3
34.43  85.7  -1 1 5
34.57  100.0  1 0 5
42.04  41.9  2 0 4
60.97  42.9  4 -2 0